Computed powder X-ray diffraction pattern of Pr3Ho5Er2 for Cu Kα X-rays, from a GGA-PBE-relaxed structure.
Intensities are scaled so that the largest is 1000.

Unit cell a=9.661 b=9.661 c=9.386 alpha=108.30 beta=108.30 gamma=112.77
Atoms (fractional coordinates):
Pr1 0.019 0.268 0.044
Pr2 0.235 0.765 0.750
Pr3 0.268 0.019 0.544
Pr4 0.732 0.981 0.456
Pr5 0.765 0.235 0.250
Pr6 0.981 0.732 0.956
Ho1 0.028 0.972 0.750
Ho2 0.152 0.371 0.770
Ho3 0.273 0.727 0.250
Ho4 0.371 0.152 0.270
Ho5 0.470 0.530 0.250
Ho6 0.530 0.470 0.750
Ho7 0.629 0.848 0.730
Ho8 0.727 0.273 0.750
Ho9 0.848 0.629 0.230
Ho10 0.972 0.028 0.250
Er1 0.233 0.464 0.453
Er2 0.464 0.233 0.953
Er3 0.536 0.767 0.047
Er4 0.767 0.536 0.547

Peak list (10 most intense, 2θ = 10–80°, in order of rising 2θ)
| two_theta | intensity |
| --- | --- |
| 30.11 | 976 |
| 30.63 | 1000 |
| 32.12 | 226 |
| 33.51 | 497 |
| 37.52 | 183 |
| 38.79 | 161 |
| 47.03 | 181 |
| 49.03 | 187 |
| 57.82 | 155 |
| 65.18 | 172 |